Entry 1:
Simulated X-ray diffraction stick pattern of FeAuBr5 for Cu Kα X-rays, from a cell relaxed with GGA-PBE.

Top 8 peaks for 2θ from 15° to 90°, most intense first:
Position (°2θ)	intensity
20.0	100
28.9	67
20.9	67
24.4	56
36.5	41
38.8	38
37.6	34
32.5	32

Structural model:
```
data_FeAuBr5
_chemical_formula_sum 'Fe4 Au4 Br20'
_symmetry_space_group_name_H-M 'C 1 2/c 1'
_symmetry_Int_Tables_number 15
_cell_length_a 9.666
_cell_length_b 12.149
_cell_length_c 9.566
_cell_angle_alpha 90.00
_cell_angle_beta 118.59
_cell_angle_gamma 90.00
loop_
_symmetry_equiv_pos_as_xyz
'x,y,z'
'-x,-y,-z'
'-x,y,-z+1/2'
'x,-y,z+1/2'
'x+1/2,y+1/2,z'
'-x+1/2,-y+1/2,-z'
'-x+1/2,y+1/2,-z+1/2'
'x+1/2,-y+1/2,z+1/2'
loop_
_atom_site_label
_atom_site_fract_x
_atom_site_fract_y
_atom_site_fract_z
Fe1 0.000 0.109 0.250
Au1 0.000 0.500 0.000
Br1 0.000 0.416 0.750
Br2 0.010 0.214 0.456
Br3 0.201 0.033 0.842
```

---

Entry 2:
Simulated X-ray diffraction stick pattern of Rb3Ga2As2 for Cu Kα X-rays, from a cell relaxed with GGA-PBE.

Top 8 peaks for 2θ from 15° to 90°, most intense first:
Position (°2θ)	intensity
28.1	100
27.2	76
31.5	56
32.2	43
38.2	34
50.3	30
52.2	24
43.7	23

Structural model:
```
data_Rb3Ga2As2
_chemical_formula_sum 'Rb6 Ga4 As4'
_symmetry_space_group_name_H-M 'I m m m'
_symmetry_Int_Tables_number 71
_symmetry_space_group_name_Hall '-I 2 2'
_cell_length_a 4.145
_cell_length_b 5.674
_cell_length_c 20.053
_cell_angle_alpha 90.00
_cell_angle_beta 90.00
_cell_angle_gamma 90.00
loop_
_atom_site_label
_atom_site_fract_x
_atom_site_fract_y
_atom_site_fract_z
Rb1 0.000 0.000 0.000
Rb2 0.000 0.500 0.314
Ga1 0.000 0.000 0.439
As1 0.000 0.500 0.131
```

---

Entry 3:
Simulated X-ray diffraction stick pattern of YBeNF6 for Cu Kα X-rays, from a cell relaxed with GGA-PBE.

Top 8 peaks for 2θ from 15° to 90°, most intense first:
Position (°2θ)	intensity
19.9	100
28.0	39
40.5	38
27.8	19
47.1	17
47.3	17
21.1	17
26.3	14

Structural model:
```
data_YBeNF6
_chemical_formula_sum 'Y2 Be2 N2 F12'
_symmetry_space_group_name_H-M 'P 1 21/m 1'
_symmetry_Int_Tables_number 11
_cell_length_a 6.788
_cell_length_b 5.826
_cell_length_c 7.681
_cell_angle_alpha 90.00
_cell_angle_beta 115.48
_cell_angle_gamma 90.00
loop_
_symmetry_equiv_pos_as_xyz
'x,y,z'
'-x,-y,-z'
'-x,y+1/2,-z'
'x,-y+1/2,z'
loop_
_atom_site_label
_atom_site_fract_x
_atom_site_fract_y
_atom_site_fract_z
Y1 0.119 0.250 0.222
Be1 0.276 0.750 0.560
N1 0.410 0.750 0.110
F1 0.150 0.750 0.687
F2 0.180 0.547 0.028
F3 0.214 0.533 0.426
F4 0.474 0.250 0.308
```

---

Entry 4:
Simulated X-ray diffraction stick pattern of SrTbP2Pd4 for Cu Kα X-rays, from a cell relaxed with GGA-PBE.

Top 8 peaks for 2θ from 15° to 90°, most intense first:
Position (°2θ)	intensity
35.9	100
44.1	42
28.3	40
41.5	31
75.8	22
21.6	16
58.6	15
36.5	15

Structural model:
```
data_SrTbP2Pd4
_chemical_formula_sum 'Sr1 Tb1 P2 Pd4'
_symmetry_space_group_name_H-M 'P 4/m m m'
_symmetry_Int_Tables_number 123
_symmetry_space_group_name_Hall '-P 4 2'
_cell_length_a 4.106
_cell_length_b 4.106
_cell_length_c 9.839
_cell_angle_alpha 90.00
_cell_angle_beta 90.00
_cell_angle_gamma 90.00
loop_
_atom_site_label
_atom_site_fract_x
_atom_site_fract_y
_atom_site_fract_z
Sr1 0.000 0.000 0.000
Tb1 0.000 0.000 0.500
P1 0.500 0.500 0.167
Pd1 0.000 0.500 0.287
```